The following is a theoretical X-ray diffraction stick pattern of Tb2PrY4Sc. It was derived from a cell relaxed with PBE, using λ = 1.5418 Å (Cu Kα).
No peak broadening, texture or thermal motion is included.

Most intense lines, 2θ from 10° to 90°, by angle:
10.11°, intensity 7.5; 27.15°, intensity 44.7; 30.45°, intensity 100.0; 41.25°, intensity 85.3; 54.09°, intensity 12.7; 61.58°, intensity 25.1; 63.33°, intensity 7.9; 65.08°, intensity 20.8; 70.21°, intensity 11.6; 81.64°, intensity 10.6

Cell and atoms:
```
16
Lattice="6.7745 -6.5688 0.0000 6.7745 6.5688 0.0000 -3.3971 0.0000 5.8748" Properties=species:S:1:pos:R:3 pbc="T T T"
Tb 0.0000 0.0000 0.0000
Tb -1.6985 0.0000 2.9374
Tb 3.3872 3.2844 0.0000
Tb 1.6887 -3.2844 2.9374
Pr 1.6887 3.2844 2.9374
Pr 3.3872 -3.2844 0.0000
Y 3.5053 0.0108 0.0774
Y 6.7707 3.1401 0.0065
Y 5.0797 3.1401 2.9309
Y 1.8067 -0.0108 3.0148
Y 8.3451 0.0108 2.8600
Y 5.0722 -3.1401 2.9438
Y 3.3811 -3.1401 5.8683
Y 6.6466 -0.0108 5.7974
Sc 6.7745 0.0000 0.0000
Sc 5.0759 0.0000 2.9374
```

=====

The following is a theoretical X-ray diffraction stick pattern of P3Se. It was derived from a cell relaxed with PBE, using λ = 1.5418 Å (Cu Kα).
No peak broadening, texture or thermal motion is included.

Most intense lines, 2θ from 10° to 90°, by angle:
11.18°, intensity 100.0; 22.46°, intensity 77.1; 23.48°, intensity 96.3; 24.09°, intensity 35.5; 27.92°, intensity 27.3; 30.55°, intensity 20.9; 32.91°, intensity 52.8; 33.25°, intensity 54.0; 35.33°, intensity 30.1; 35.71°, intensity 49.6

Cell and atoms:
```
4
Lattice="3.2913 0.0000 0.0000 1.6143 3.8561 0.0000 1.5738 1.4928 7.9160" Properties=species:S:1:pos:R:3 pbc="T T T"
P 0.0000 0.0000 0.0000
P 1.6119 2.5406 1.8679
P 4.8347 4.3034 6.9312
Se 3.2573 3.4059 3.2278
```

=====

The following is a theoretical X-ray diffraction stick pattern of Pr5Dy4Er3. It was derived from a cell relaxed with PBE, using λ = 1.5418 Å (Cu Kα).
No peak broadening, texture or thermal motion is included.

Most intense lines, 2θ from 10° to 90°, by angle:
28.01°, intensity 28.6; 29.31°, intensity 44.3; 29.81°, intensity 82.1; 30.21°, intensity 78.7; 30.45°, intensity 100.0; 30.73°, intensity 100.0; 34.66°, intensity 29.0; 43.64°, intensity 57.8; 54.08°, intensity 16.7; 54.47°, intensity 19.6

Cell and atoms:
```
12
Lattice="6.3467 -2.9093 0.0000 6.3467 2.9093 0.0000 -1.0490 0.0000 10.8775" Properties=species:S:1:pos:R:3 pbc="T T T"
Pr 0.0000 0.0000 0.0000
Pr 3.6959 0.0000 7.9836
Pr 4.6420 0.0000 4.4430
Pr 7.0023 0.0000 6.4345
Pr 7.9484 0.0000 2.8940
Dy 0.2079 0.0000 8.2158
Dy 1.4089 0.0000 4.8628
Dy 10.2354 0.0000 6.0147
Dy 11.4364 0.0000 2.6617
Er 3.1329 0.0000 1.1404
Er 6.3467 0.0000 0.0000
Er 8.5114 0.0000 9.7372
```

=====

The following is a theoretical X-ray diffraction stick pattern of Zr2WSe2Cl4. It was derived from a cell relaxed with PBE, using λ = 1.5418 Å (Cu Kα).
No peak broadening, texture or thermal motion is included.

Most intense lines, 2θ from 10° to 90°, by angle:
11.77°, intensity 100.0; 30.54°, intensity 21.1; 32.83°, intensity 18.1; 34.52°, intensity 13.9; 36.59°, intensity 34.1; 39.00°, intensity 15.0; 41.69°, intensity 12.9; 44.62°, intensity 24.2; 54.28°, intensity 15.6; 55.75°, intensity 11.2

Cell and atoms:
```
9
Lattice="3.3801 0.0000 0.0000 -1.6900 2.9272 0.0000 0.0000 0.0000 22.5548" Properties=species:S:1:pos:R:3 pbc="T T T"
Zr 0.0000 0.0000 0.0000
Zr 0.0000 1.9515 7.4033
W 0.0000 1.9515 15.1997
Se 0.0000 0.0000 13.5380
Se 0.0000 0.0000 16.8616
Cl 0.0000 0.0000 5.6650
Cl 0.0000 0.0000 9.1421
Cl 0.0000 1.9515 1.7381
Cl 0.0000 1.9515 20.8159
```

=====

The following is a theoretical X-ray diffraction stick pattern of In10GaHg6. It was derived from a cell relaxed with PBE, using λ = 1.5418 Å (Cu Kα).
No peak broadening, texture or thermal motion is included.

Most intense lines, 2θ from 10° to 90°, by angle:
24.07°, intensity 23.6; 29.33°, intensity 37.0; 32.88°, intensity 100.0; 33.35°, intensity 89.9; 35.23°, intensity 97.9; 43.11°, intensity 36.1; 49.30°, intensity 23.0; 54.31°, intensity 23.5; 60.83°, intensity 29.6; 62.90°, intensity 20.4

Cell and atoms:
```
17
Lattice="9.3058 0.0000 0.0000 -4.6529 8.0590 0.0000 0.0000 0.0000 6.0892" Properties=species:S:1:pos:R:3 pbc="T T T"
In -1.2233 2.1188 1.4037
In -3.4296 5.9403 4.6855
In 2.4465 0.0000 1.4037
In 1.2233 2.1188 4.6855
In 0.0000 5.3727 0.0000
In 0.0000 5.3727 3.0446
In 4.6529 2.6863 0.0000
In 4.6529 2.6863 3.0446
In 6.8592 0.0000 4.6855
In 3.4296 5.9403 1.4037
Ga 0.0000 0.0000 3.0446
Hg -1.7965 3.1116 4.4939
Hg -2.8564 4.9474 1.5953
Hg 3.5930 0.0000 4.4939
Hg 1.7965 3.1116 1.5953
Hg 5.7128 0.0000 1.5953
Hg 2.8564 4.9474 4.4939
```

=====

The following is a theoretical X-ray diffraction stick pattern of NdSn4Pd15. It was derived from a cell relaxed with PBE, using λ = 1.5418 Å (Cu Kα).
No peak broadening, texture or thermal motion is included.

Most intense lines, 2θ from 10° to 90°, by angle:
38.26°, intensity 100.0; 41.11°, intensity 0.7; 44.38°, intensity 33.5; 44.66°, intensity 15.2; 64.57°, intensity 10.8; 64.78°, intensity 19.9; 77.61°, intensity 25.1; 78.01°, intensity 10.7; 81.91°, intensity 10.4; 83.20°, intensity 0.9

Cell and atoms:
```
20
Lattice="4.0823 0.0000 0.0000 0.0000 4.0823 0.0000 0.0000 0.0000 20.2915" Properties=species:S:1:pos:R:3 pbc="T T T"
Nd 0.0000 0.0000 0.0000
Sn 0.0000 0.0000 4.1564
Sn 0.0000 0.0000 8.1507
Sn 0.0000 0.0000 12.1408
Sn 0.0000 0.0000 16.1352
Pd 0.0000 2.0412 2.1844
Pd 0.0000 2.0412 6.1473
Pd 0.0000 2.0412 10.1458
Pd 0.0000 2.0412 14.1442
Pd 0.0000 2.0412 18.1071
Pd 2.0412 0.0000 2.1844
Pd 2.0412 0.0000 6.1473
Pd 2.0412 0.0000 10.1458
Pd 2.0412 0.0000 14.1442
Pd 2.0412 0.0000 18.1071
Pd 2.0412 2.0412 0.0000
Pd 2.0412 2.0412 4.1627
Pd 2.0412 2.0412 8.1456
Pd 2.0412 2.0412 12.1459
Pd 2.0412 2.0412 16.1288
```